The following is a simulated PXRD pattern of Np3Se3N. It was derived from a structure optimized by DFT (GGA-PBE), using a wavelength of 1.5418 Å.
Kinematic intensities with the Lorentz-polarization factor, no thermal factor.

The 6 most intense peaks (10° ≤ 2θ ≤ 90°), most intense first:
- 2θ = 28.0°, rel. 100, hkl 1 2 -1
- 2θ = 28.2°, rel. 100, hkl 2 1 1
- 2θ = 27.2°, rel. 88, hkl 0 1 3
- 2θ = 43.7°, rel. 56, hkl 1 3 2
- 2θ = 34.7°, rel. 55, hkl 1 1 -4
- 2θ = 36.4°, rel. 49, hkl 3 1 0

Structure:
Lattice parameters (Å, degrees): 8.0140 7.1440 11.2599 90.00 99.82 90.00
Space group P2_1/c (No. 14)
Inequivalent atoms, fractional coordinates:
Np: 0.0650 0.0620 0.3665 (multiplicity 4)
Np: 0.2458 0.6260 0.5118 (multiplicity 4)
Np: 0.3859 0.0712 0.6559 (multiplicity 4)
Se: 0.0957 0.1791 0.1205 (multiplicity 4)
Se: 0.2708 0.7352 0.7752 (multiplicity 4)
Se: 0.4011 0.2391 0.9148 (multiplicity 4)
N: 0.1778 0.5760 0.0358 (multiplicity 4)